1.
Starting from the PBE geometry in the Materials Project, the powder diffractogram of LiMg14BO16 was computed for Cu Kα.
No peak broadening, texture or thermal motion is included.

The 10 most intense peaks (10 to 90 degrees two-theta), sorted by position:
hkl 1 0 0, d 8.396, 10.54°, intensity 3; hkl 3 1 0, d 2.655, 33.76°, intensity 4; hkl 2 2 1, d 2.434, 36.94°, intensity 12; hkl 0 0 2, d 2.125, 42.54°, intensity 56; hkl 4 0 0, d 2.099, 43.10°, intensity 100; hkl 4 0 2, d 1.493, 62.16°, intensity 57; hkl 4 4 0, d 1.484, 62.59°, intensity 26; hkl 2 2 3, d 1.279, 74.16°, intensity 3; hkl 6 2 1, d 1.267, 74.95°, intensity 8; hkl 4 4 2, d 1.217, 78.63°, intensity 24

Atomic structure:
Cell lengths 8.396, 8.396, 4.250 Å; angles 90.00, 90.00, 90.00 degrees
Space group P4/mmm (No. 123)
Asymmetric unit:
Li1 0.000 0.000 0.000 x1
Mg1 0.000 0.244 0.500 x4
Mg2 0.000 0.500 0.000 x2
Mg3 0.248 0.248 0.000 x4
Mg4 0.258 0.500 0.500 x4
B1 0.500 0.500 0.000 x1
O1 0.000 0.000 0.500 x1
O2 0.000 0.263 0.000 x4
O3 0.000 0.500 0.500 x2
O4 0.251 0.251 0.500 x4
O5 0.292 0.500 0.000 x4
O6 0.500 0.500 0.500 x1

2.
Starting from the PBE geometry in the Materials Project, the powder diffractogram of MgCd was computed for Cu Kα.
No peak broadening, texture or thermal motion is included.

The 10 most intense peaks (10 to 90 degrees two-theta), sorted by position:
hkl 2 0 -1, d 4.655, 19.07°, intensity 100; hkl 1 1 0, d 3.069, 29.09°, intensity 38; hkl 2 0 1, d 2.926, 30.55°, intensity 32; hkl 1 1 -1, d 2.750, 32.56°, intensity 37; hkl 4 0 0, d 2.575, 34.84°, intensity 59; hkl 1 1 1, d 2.443, 36.79°, intensity 74; hkl 3 1 -1, d 2.409, 37.33°, intensity 73; hkl 0 0 2, d 2.390, 37.63°, intensity 37; hkl 4 0 -2, d 2.327, 38.69°, intensity 33; hkl 3 1 -3, d 1.550, 59.67°, intensity 26

Atomic structure:
Cell lengths 11.438, 3.216, 5.308 Å; angles 90.00, 115.76, 90.00 degrees
Space group C2/m (No. 12)
Asymmetric unit:
Mg1 0.124 0.000 0.293 x4
Cd1 0.124 0.500 0.789 x4

3.
Starting from the PBE geometry in the Materials Project, the powder diffractogram of Al2Se3 was computed for Cu Kα.
No peak broadening, texture or thermal motion is included.

The 10 most intense peaks (10 to 90 degrees two-theta), sorted by position:
hkl 1 0 3, d 6.141, 14.42°, intensity 10; hkl 2 0 6, d 3.071, 29.08°, intensity 100; hkl 2 2 0, d 2.659, 33.71°, intensity 90; hkl 1 0 15, d 2.047, 44.25°, intensity 10; hkl 4 0 0, d 1.880, 48.41°, intensity 74; hkl 4 2 6, d 1.604, 57.47°, intensity 39; hkl 4 0 12, d 1.535, 60.28°, intensity 20; hkl 4 4 0, d 1.330, 70.87°, intensity 11; hkl 6 0 6, d 1.220, 78.37°, intensity 15; hkl 6 2 0, d 1.189, 80.82°, intensity 24

Atomic structure:
Cell lengths 7.523, 7.523, 31.892 Å; angles 90.00, 90.00, 90.00 degrees
Space group I4_1/amd (No. 141, origin choice 2)
Asymmetric unit:
Al1 0.000 0.000 0.000 x8
Al2 0.000 0.023 0.669 x16
Al3 0.000 0.250 0.204 x8
Se1 0.000 0.006 0.079 x16
Se2 0.000 0.009 0.750 x16
Se3 0.000 0.019 0.412 x16

4.
Starting from the PBE geometry in the Materials Project, the powder diffractogram of CeAsO3 was computed for Cu Kα.
No peak broadening, texture or thermal motion is included.

The 10 most intense peaks (10 to 90 degrees two-theta), sorted by position:
hkl 0 1 2, d 3.605, 24.69°, intensity 32; hkl 1 2 1, d 3.172, 28.13°, intensity 89; hkl 2 1 -2, d 3.138, 28.44°, intensity 87; hkl 1 1 2, d 3.124, 28.57°, intensity 46; hkl 2 2 0, d 2.941, 30.39°, intensity 54; hkl 3 1 -1, d 2.821, 31.72°, intensity 100; hkl 2 0 2, d 2.703, 33.15°, intensity 29; hkl 1 1 -3, d 2.617, 34.26°, intensity 67; hkl 3 1 2, d 2.089, 43.32°, intensity 31; hkl 1 4 -1, d 1.884, 48.30°, intensity 34

Atomic structure:
Cell lengths 9.157, 7.835, 8.352 Å; angles 90.00, 103.49, 90.00 degrees
Space group P2_1/c (No. 14)
Asymmetric unit:
Ce1 0.013 0.188 0.343 x4
Ce2 0.402 0.165 0.773 x4
As1 0.205 0.518 0.551 x4
As2 0.313 0.593 0.938 x4
O1 0.110 0.608 0.909 x4
O2 0.131 0.177 0.118 x4
O3 0.156 0.033 0.833 x4
O4 0.315 0.137 0.456 x4
O5 0.378 0.636 0.150 x4
O6 0.397 0.039 0.094 x4

5.
Starting from the PBE geometry in the Materials Project, the powder diffractogram of HoSiRu was computed for Cu Kα.
No peak broadening, texture or thermal motion is included.

The 10 most intense peaks (10 to 90 degrees two-theta), sorted by position:
hkl 0 1 1, d 3.691, 24.11°, intensity 34; hkl 1 1 1, d 3.262, 27.34°, intensity 24; hkl 1 1 2, d 2.553, 35.15°, intensity 93; hkl 2 1 1, d 2.534, 35.42°, intensity 100; hkl 2 0 2, d 2.488, 36.11°, intensity 31; hkl 1 0 3, d 2.242, 40.23°, intensity 31; hkl 3 0 1, d 2.209, 40.86°, intensity 31; hkl 0 2 0, d 2.159, 41.83°, intensity 56; hkl 0 1 3, d 2.076, 43.59°, intensity 31; hkl 3 1 4, d 1.341, 70.17°, intensity 31

Atomic structure:
Cell lengths 6.972, 4.321, 7.102 Å; angles 90.00, 90.00, 90.00 degrees
Space group Pnma (No. 62)
Asymmetric unit:
Ho1 0.014 0.250 0.187 x4
Si1 0.197 0.250 0.606 x4
Ru1 0.153 0.750 0.433 x4

6.
Starting from the PBE geometry in the Materials Project, the powder diffractogram of MgTe4Mo3WS4 was computed for Cu Kα.
No peak broadening, texture or thermal motion is included.

The 10 most intense peaks (10 to 90 degrees two-theta), sorted by position:
hkl 0 0 5, d 8.432, 10.49°, intensity 100; hkl 0 0 6, d 7.027, 12.60°, intensity 18; hkl 0 0 9, d 4.685, 18.94°, intensity 14; hkl 1 1 0, d 2.917, 30.65°, intensity 44; hkl 1 1 -5, d 2.759, 32.45°, intensity 12; hkl 1 1 8, d 2.554, 35.14°, intensity 54; hkl 1 1 -10, d 2.400, 37.47°, intensity 24; hkl 1 1 -13, d 2.170, 41.62°, intensity 47; hkl 2 0 -14, d 2.096, 43.16°, intensity 12; hkl 3 1 0, d 1.685, 54.44°, intensity 21

Atomic structure:
Cell lengths 5.838, 3.371, 42.162 Å; angles 90.00, 90.11, 90.00 degrees
Space group Cm (No. 8)
Asymmetric unit:
Mg1 0.000 0.000 0.000 x2
Te1 0.001 0.000 0.232 x2
Te2 0.002 0.000 0.322 x2
Te3 0.167 0.500 0.669 x2
Te4 0.169 0.500 0.758 x2
Mo1 0.000 0.000 0.095 x2
Mo2 0.002 0.000 0.713 x2
Mo3 0.168 0.500 0.277 x2
W1 0.168 0.500 0.897 x2
S1 0.001 0.000 0.862 x2
S2 0.002 0.000 0.933 x2
S3 0.167 0.500 0.059 x2
S4 0.167 0.500 0.130 x2

7.
Starting from the PBE geometry in the Materials Project, the powder diffractogram of KEr2Cl7 was computed for Cu Kα.
No peak broadening, texture or thermal motion is included.

The 10 most intense peaks (10 to 90 degrees two-theta), sorted by position:
hkl 0 0 2, d 6.658, 13.30°, intensity 100; hkl 1 1 0, d 6.078, 14.57°, intensity 43; hkl 1 1 -2, d 4.518, 19.65°, intensity 32; hkl 1 1 2, d 4.460, 19.91°, intensity 31; hkl 1 3 1, d 3.472, 25.66°, intensity 61; hkl 1 3 -3, d 2.805, 31.90°, intensity 21; hkl 1 3 3, d 2.783, 32.16°, intensity 24; hkl 0 4 3, d 2.572, 34.88°, intensity 26; hkl 2 0 -4, d 2.419, 37.17°, intensity 17; hkl 2 4 -1, d 2.303, 39.12°, intensity 19

Atomic structure:
Cell lengths 6.936, 12.624, 13.317 Å; angles 90.00, 90.84, 90.00 degrees
Space group P2_1/c (No. 14)
Asymmetric unit:
K1 0.233 0.201 0.462 x4
Er1 0.226 0.660 0.751 x4
Er2 0.279 0.537 0.262 x4
Cl1 0.016 0.678 0.326 x4
Cl2 0.037 0.059 0.632 x4
Cl3 0.045 0.086 0.877 x4
Cl4 0.243 0.685 0.108 x4
Cl5 0.444 0.527 0.865 x4
Cl6 0.474 0.574 0.621 x4
Cl7 0.497 0.703 0.324 x4

8.
Starting from the PBE geometry in the Materials Project, the powder diffractogram of NdGdHg2 was computed for Cu Kα.
No peak broadening, texture or thermal motion is included.

The 10 most intense peaks (10 to 90 degrees two-theta), sorted by position:
hkl 2 0 0, d 3.816, 23.31°, intensity 2; hkl 2 2 0, d 2.698, 33.21°, intensity 100; hkl 2 2 2, d 2.203, 40.97°, intensity 1; hkl 4 0 0, d 1.908, 47.67°, intensity 18; hkl 4 2 0, d 1.706, 53.72°, intensity 1; hkl 4 2 2, d 1.558, 59.33°, intensity 38; hkl 4 4 0, d 1.349, 69.71°, intensity 12; hkl 6 0 0, d 1.272, 74.62°, intensity 1; hkl 6 2 0, d 1.207, 79.42°, intensity 17; hkl 4 4 4, d 1.101, 88.84°, intensity 4

Atomic structure:
Cell lengths 7.631, 7.631, 7.631 Å; angles 90.00, 90.00, 90.00 degrees
Space group Fm-3m (No. 225)
Asymmetric unit:
Nd1 0.000 0.000 0.000 x4
Gd1 0.000 0.000 0.500 x4
Hg1 0.250 0.250 0.250 x8